1.
Structure and calculated X-ray powder pattern of LaTeMo (a cell relaxed with PBE; Cu Kα (weighted mean of Kα1 and Kα2)).

Largest 10 diffraction maxima, most intense first, 10 to 90 degrees two-theta:
2θ (°), I_rel
34.17, 100
36.01, 55
63.56, 32
51.84, 19
47.78, 15
60.99, 14
30.34, 13
84.10, 12
26.38, 11
87.44, 9

Cell: 6.398 6.398 6.398 Å, 148.00 148.00 45.89°
Element x y z (fractional)
1 La 0.000 0.000 0.000
2 Te 0.285 0.285 0.000
3 Mo 0.678 0.678 0.000

=====

2.
Structure and calculated X-ray powder pattern of LaMoW (a cell relaxed with PBE; Cu Kα (weighted mean of Kα1 and Kα2)).

Largest 10 diffraction maxima, most intense first, 10 to 90 degrees two-theta:
2θ (°), I_rel
35.59, 100
38.95, 75
53.78, 31
68.37, 30
61.63, 19
88.25, 14
70.54, 13
75.35, 10
22.19, 9
83.64, 8

Cell: 4.625 4.625 3.248 Å, 90.00 90.00 120.00°
Element x y z (fractional)
1 La 0.000 0.000 0.000
2 Mo 0.333 0.667 0.345
3 W 0.667 0.333 0.627

=====

3.
Structure and calculated X-ray powder pattern of Na3LaN6 (a cell relaxed with PBE; Cu Kα (weighted mean of Kα1 and Kα2)).

Largest 10 diffraction maxima, most intense first, 10 to 90 degrees two-theta:
2θ (°), I_rel
14.96, 100
17.88, 56
34.88, 43
16.47, 39
48.06, 32
25.23, 26
32.02, 23
29.58, 21
25.52, 20
33.52, 17

Cell: 12.131 11.380 6.699 Å, 79.71 67.38 32.91°
Element x y z (fractional)
1 Na 0.125 0.125 0.125
2 Na 0.210 0.210 0.540
3 Na 0.460 0.460 0.790
4 Na 0.540 0.540 0.210
5 Na 0.790 0.790 0.460
6 Na 0.875 0.875 0.875
7 La 0.375 0.375 0.375
8 La 0.625 0.625 0.625
9 N 0.034 0.572 0.642
10 N 0.152 0.598 0.152
11 N 0.252 0.642 0.572
12 N 0.358 0.748 0.966
13 N 0.402 0.848 0.402
14 N 0.428 0.966 0.748
15 N 0.572 0.034 0.252
16 N 0.598 0.152 0.598
17 N 0.642 0.252 0.034
18 N 0.748 0.358 0.428
19 N 0.848 0.402 0.848
20 N 0.966 0.428 0.358

=====

4.
Structure and calculated X-ray powder pattern of NaLaPN2 (a cell relaxed with PBE; Cu Kα (weighted mean of Kα1 and Kα2)).

Largest 10 diffraction maxima, most intense first, 10 to 90 degrees two-theta:
2θ (°), I_rel
24.72, 100
31.37, 94
27.80, 57
16.09, 57
28.44, 54
45.05, 44
32.50, 43
38.52, 36
46.30, 29
43.86, 28

Cell: 5.663 4.323 6.691 Å, 90.00 103.38 90.00°
Element x y z (fractional)
1 Na 0.000 0.019 0.250
2 Na 0.000 0.981 0.750
3 La 0.500 0.275 0.750
4 La 0.500 0.725 0.250
5 P 0.000 0.500 0.000
6 P 0.000 0.500 0.500
7 N 0.262 0.273 0.039
8 N 0.262 0.727 0.539
9 N 0.738 0.273 0.461
10 N 0.738 0.727 0.961